1.
Starting from the GGA-PBE geometry in Alexandria, the PXRD pattern of Pu2MnGa6 was computed for a wavelength of 1.5418 Å.
Neutral-atom scattering factors, no anomalous dispersion.

Main lines, sorted by position (10 to 90 degrees two-theta):
d [Å]	Position (°2θ)	I/Imax	index
3.760	23.7	38	1 0 1
2.979	30.0	27	1 1 0
2.618	34.2	27	1 1 1
2.580	34.8	20	2 0 0
2.423	37.1	45	0 1 2
2.335	38.6	100	2 0 1
1.838	49.6	17	2 1 1
1.590	58.0	19	1 2 2
1.559	59.3	16	1 1 3
1.489	62.3	21	2 2 0

Crystal structure
```
data_Pu2MnGa6
_chemical_formula_sum 'Pu2 Mn1 Ga6'
_space_group_name_H-M_alt 'P -3 m 1'
_space_group_IT_number 164
_space_group_name_Hall '-P 3 2"'
_cell_length_a 5.9575
_cell_length_b 5.9575
_cell_length_c 5.4900
_cell_angle_alpha 90.00
_cell_angle_beta 90.00
_cell_angle_gamma 120.00
loop_
_atom_site_label
_atom_site_type_symbol
_atom_site_fract_x
_atom_site_fract_y
_atom_site_fract_z
_atom_site_occupancy
Pu1 Pu 0.3333 0.6667 0.1784 1
Mn1 Mn 0.0000 0.0000 0.0000 1
Ga1 Ga 0.1756 0.3513 0.6870 1
```


2.
Starting from the GGA-PBE geometry in Alexandria, the PXRD pattern of Mn2GaReSe was computed for a wavelength of 1.5418 Å.
Neutral-atom scattering factors, no anomalous dispersion.

Main lines, sorted by position (10 to 90 degrees two-theta):
d [Å]	Position (°2θ)	I/Imax	index
8.044	11.0	75	0 0 1
4.022	22.1	24	0 0 2
2.910	30.7	50	1 0 1
2.466	36.4	23	1 0 2
2.207	40.9	67	1 1 0
2.034	44.5	100	1 0 3
1.935	47.0	13	1 1 2
1.561	59.2	22	2 0 0
1.238	77.0	38	2 1 3
1.146	84.6	16	1 1 6

Crystal structure
```
data_Mn2GaReSe
_chemical_formula_sum 'Mn2 Ga1 Re1 Se1'
_space_group_name_H-M_alt 'P 4 m m'
_space_group_IT_number 99
_cell_length_a 3.1216
_cell_length_b 3.1216
_cell_length_c 8.0435
_cell_angle_alpha 90.00
_cell_angle_beta 90.00
_cell_angle_gamma 90.00
loop_
_space_group_symop_operation_xyz
'x,y,z'
'-y,x,z'
'-x,-y,z'
'y,-x,z'
'-x,y,z'
'y,x,z'
'x,-y,z'
'-y,-x,z'
loop_
_atom_site_label
_atom_site_type_symbol
_atom_site_fract_x
_atom_site_fract_y
_atom_site_fract_z
_atom_site_occupancy
Mn1 Mn 0.0000 0.0000 0.0000 1
Mn2 Mn 0.5000 0.5000 0.1758 1
Ga1 Ga 0.5000 0.5000 0.5237 1
Re1 Re 0.0000 0.0000 0.3337 1
Se1 Se 0.5000 0.5000 0.8576 1
```


3.
Starting from the GGA-PBE geometry in Alexandria, the PXRD pattern of Mn2GaReSe was computed for a wavelength of 1.5418 Å.
Neutral-atom scattering factors, no anomalous dispersion.

Main lines, sorted by position (10 to 90 degrees two-theta):
d [Å]	Position (°2θ)	I/Imax	index
6.335	14.0	96	0 0 1
3.451	25.8	24	1 0 0
3.339	26.7	35	0 1 1
3.030	29.5	25	1 0 1
2.400	37.5	93	1 1 1
2.112	42.8	24	0 0 3
2.006	45.2	100	1 1 2
1.964	46.2	28	0 2 0
1.726	53.1	19	2 0 0
1.438	64.8	17	0 2 3

Crystal structure
```
data_Mn2GaReSe
_chemical_formula_sum 'Mn2 Ga1 Re1 Se1'
_space_group_name_H-M_alt 'P m m 2'
_space_group_IT_number 25
_cell_length_a 3.4510
_cell_length_b 3.9287
_cell_length_c 6.3346
_cell_angle_alpha 90.00
_cell_angle_beta 90.00
_cell_angle_gamma 90.00
loop_
_space_group_symop_operation_xyz
'x,y,z'
'-x,-y,z'
'-x,y,z'
'x,-y,z'
loop_
_atom_site_label
_atom_site_type_symbol
_atom_site_fract_x
_atom_site_fract_y
_atom_site_fract_z
_atom_site_occupancy
Mn1 Mn 0.0000 0.0000 0.0000 1
Mn2 Mn 0.5000 0.0000 0.3259 1
Ga1 Ga 0.0000 0.5000 0.2861 1
Re1 Re 0.5000 0.5000 0.9814 1
Se1 Se 0.5000 0.0000 0.7233 1
```


4.
Starting from the GGA-PBE geometry in Alexandria, the PXRD pattern of Mn2GaReSe was computed for a wavelength of 1.5418 Å.
Neutral-atom scattering factors, no anomalous dispersion.

Main lines, sorted by position (10 to 90 degrees two-theta):
d [Å]	Position (°2θ)	I/Imax	index
6.699	13.2	100	0 0 1
4.194	21.2	36	0 1 0
3.555	25.1	16	0 1 1
2.813	31.8	37	1 0 1
2.336	38.5	72	1 1 1
2.233	40.4	18	0 0 3
2.097	43.1	32	0 2 0
2.000	45.3	90	1 1 2
1.971	46.1	32	0 1 3
1.681	54.6	16	1 2 1

Crystal structure
```
data_Mn2GaReSe
_chemical_formula_sum 'Mn2 Ga1 Re1 Se1'
_space_group_name_H-M_alt 'P m m 2'
_space_group_IT_number 25
_cell_length_a 3.0996
_cell_length_b 4.1940
_cell_length_c 6.6988
_cell_angle_alpha 90.00
_cell_angle_beta 90.00
_cell_angle_gamma 90.00
loop_
_space_group_symop_operation_xyz
'x,y,z'
'-x,-y,z'
'-x,y,z'
'x,-y,z'
loop_
_atom_site_label
_atom_site_type_symbol
_atom_site_fract_x
_atom_site_fract_y
_atom_site_fract_z
_atom_site_occupancy
Mn1 Mn 0.0000 0.0000 0.0000 1
Mn2 Mn 0.0000 0.5000 0.4115 1
Ga1 Ga 0.5000 0.5000 0.0818 1
Re1 Re 0.5000 0.0000 0.3286 1
Se1 Se 0.0000 0.0000 0.6237 1
```


5.
Starting from the GGA-PBE geometry in Alexandria, the PXRD pattern of Mn3GaRh4 was computed for a wavelength of 1.5418 Å.
Neutral-atom scattering factors, no anomalous dispersion.

Main lines, sorted by position (10 to 90 degrees two-theta):
d [Å]	Position (°2θ)	I/Imax	index
3.045	29.3	5	0 0 4
3.026	29.5	10	1 1 0
2.146	42.1	100	1 1 4
2.140	42.2	50	2 0 0
1.751	52.3	4	2 0 4
1.522	60.9	8	0 0 8
1.513	61.3	16	2 2 0
1.354	69.4	4	3 1 0
1.240	76.9	16	2 0 8
1.237	77.1	31	3 1 4

Crystal structure
```
data_Mn3GaRh4
_chemical_formula_sum 'Mn6 Ga2 Rh8'
_space_group_name_H-M_alt 'I 4/m m m'
_space_group_IT_number 139
_space_group_name_Hall '-I 4 2'
_cell_length_a 4.2793
_cell_length_b 4.2793
_cell_length_c 12.1782
_cell_angle_alpha 90.00
_cell_angle_beta 90.00
_cell_angle_gamma 90.00
loop_
_atom_site_label
_atom_site_type_symbol
_atom_site_fract_x
_atom_site_fract_y
_atom_site_fract_z
_atom_site_occupancy
Mn1 Mn 0.0000 0.0000 0.0000 1
Mn2 Mn 0.0000 0.0000 0.2501 1
Ga1 Ga 0.0000 0.0000 0.5000 1
Rh1 Rh 0.0000 0.5000 0.1250 1
```


6.
Starting from the GGA-PBE geometry in Alexandria, the PXRD pattern of MnGa5Rh6 was computed for a wavelength of 1.5418 Å.
Neutral-atom scattering factors, no anomalous dispersion.

Main lines, sorted by position (10 to 90 degrees two-theta):
d [Å]	Position (°2θ)	I/Imax	index
3.034	29.4	5	1 3 0
2.146	42.1	100	2 0 0
1.752	52.2	1	0 6 2
1.517	61.1	16	0 0 4
1.357	69.2	2	1 9 0
1.239	76.9	21	2 0 4
1.238	77.0	11	3 3 2

Crystal structure
```
data_MnGa5Rh6
_chemical_formula_sum 'Mn2 Ga10 Rh12'
_space_group_name_H-M_alt 'C m m m'
_space_group_IT_number 65
_space_group_name_Hall '-C 2 2'
_cell_length_a 4.2871
_cell_length_b 12.8816
_cell_length_c 6.0717
_cell_angle_alpha 90.00
_cell_angle_beta 90.00
_cell_angle_gamma 90.00
loop_
_atom_site_label
_atom_site_type_symbol
_atom_site_fract_x
_atom_site_fract_y
_atom_site_fract_z
_atom_site_occupancy
Mn1 Mn 0.0000 0.0000 0.0000 1
Ga1 Ga 0.0000 0.0000 0.5000 1
Ga2 Ga 0.0000 0.3336 0.5000 1
Ga3 Ga 0.0000 0.3387 0.0000 1
Rh1 Rh 0.0000 0.1693 0.2510 1
Rh2 Rh 0.0000 0.5000 0.2571 1
```


7.
Starting from the GGA-PBE geometry in Alexandria, the PXRD pattern of MnGa4Rh5 was computed for a wavelength of 1.5418 Å.
Neutral-atom scattering factors, no anomalous dispersion.

Main lines, sorted by position (10 to 90 degrees two-theta):
d [Å]	Position (°2θ)	I/Imax	index
3.039	29.4	6	1 0 0
2.149	42.1	100	1 1 0
1.754	52.1	1	1 1 5
1.520	60.9	11	2 0 0
1.518	61.1	5	0 0 10
1.359	69.1	1	2 1 0
1.358	69.2	1	1 0 10
1.241	76.8	32	2 1 5

Crystal structure
```
data_MnGa4Rh5
_chemical_formula_sum 'Mn1 Ga4 Rh5'
_space_group_name_H-M_alt 'P 4/m m m'
_space_group_IT_number 123
_space_group_name_Hall '-P 4 2'
_cell_length_a 3.0403
_cell_length_b 3.0403
_cell_length_c 15.1754
_cell_angle_alpha 90.00
_cell_angle_beta 90.00
_cell_angle_gamma 90.00
loop_
_atom_site_label
_atom_site_type_symbol
_atom_site_fract_x
_atom_site_fract_y
_atom_site_fract_z
_atom_site_occupancy
Mn1 Mn 0.0000 0.0000 0.0000 1
Ga1 Ga 0.0000 0.0000 0.1974 1
Ga2 Ga 0.0000 0.0000 0.3994 1
Rh1 Rh 0.5000 0.5000 0.1038 1
Rh2 Rh 0.5000 0.5000 0.3015 1
Rh3 Rh 0.5000 0.5000 0.5000 1
```


8.
Starting from the GGA-PBE geometry in Alexandria, the PXRD pattern of ScMn2GaRh was computed for a wavelength of 1.5418 Å.
Neutral-atom scattering factors, no anomalous dispersion.

Main lines, sorted by position (10 to 90 degrees two-theta):
d [Å]	Position (°2θ)	I/Imax	index
4.840	18.3	35	0 0 1
4.475	19.8	36	1 0 0
3.286	27.1	93	1 0 1
2.649	33.8	46	1 1 1
2.420	37.2	63	0 0 2
2.238	40.3	100	2 0 0
1.850	49.3	37	2 1 1
1.643	56.0	73	2 0 2
1.582	58.3	32	2 2 0
1.324	71.2	34	2 2 2

Crystal structure
```
data_ScMn2GaRh
_chemical_formula_sum 'Sc1 Mn2 Ga1 Rh1'
_space_group_name_H-M_alt 'P 4/m m m'
_space_group_IT_number 123
_space_group_name_Hall '-P 4 2'
_cell_length_a 4.4755
_cell_length_b 4.4755
_cell_length_c 4.8400
_cell_angle_alpha 90.00
_cell_angle_beta 90.00
_cell_angle_gamma 90.00
loop_
_atom_site_label
_atom_site_type_symbol
_atom_site_fract_x
_atom_site_fract_y
_atom_site_fract_z
_atom_site_occupancy
Sc1 Sc 0.0000 0.0000 0.0000 1
Mn1 Mn 0.0000 0.5000 0.5000 1
Ga1 Ga 0.5000 0.5000 0.0000 1
Rh1 Rh 0.0000 0.0000 0.5000 1
```